Starting from a structure optimized by DFT (GGA-PBE), the X-ray diffraction stick pattern of V3Te8Ir was computed for copper Kα.
Lines closer than 0.1° are merged.

Structural model:
a = 12.7362 Å, b = 7.3459 Å, c = 8.3104 Å
α = 90.00°, β = 121.20°, γ = 90.00°
Space group C2/m (No. 12)
Inequivalent atoms, fractional coordinates:
V  0.0000  0.0000  0.0000
V  0.2500  0.2500  0.0000
Te  0.0027  0.2520  0.7636
Te  0.2451  0.5000  0.2363
Te  0.2481  0.0000  0.2410
Ir  0.0000  0.5000  0.0000

Top 10 peaks for 10 to 80 degrees two-theta, in order of rising 2θ:
- d 7.108, I 51
- d 3.554, I 25
- d 3.045, I 32
- d 2.737, I 100
- d 2.724, I 49
- d 2.052, I 21
- d 2.039, I 42
- d 1.837, I 46
- d 1.777, I 18
- d 1.523, I 16